For La4TlGeN, a GGA-PBE-relaxed structure gives the simulated powder diffractogram in this record (λ = 1.5418 Å (Cu Kα)).

The 10 most intense peaks (10 to 90 degrees two-theta), by intensity:
- 2θ = 33.3°, intensity 100
- 2θ = 36.5°, intensity 76
- 2θ = 27.6°, intensity 49
- 2θ = 27.8°, intensity 49
- 2θ = 49.1°, intensity 41
- 2θ = 31.7°, intensity 35
- 2θ = 32.1°, intensity 26
- 2θ = 63.8°, intensity 17
- 2θ = 63.6°, intensity 16
- 2θ = 52.4°, intensity 13

Structure:
```
La4TlGeN
1.0
3.474 -8.462 0.000
3.474 8.462 0.000
0.000 0.000 6.981
La Tl Ge N
8 2 2 2
Direct
0.000 0.500 0.000
0.000 0.500 0.500
0.065 0.935 0.750
0.416 0.584 0.750
0.500 0.000 0.000
0.500 0.000 0.500
0.584 0.416 0.250
0.935 0.065 0.250
0.391 0.609 0.250
0.609 0.391 0.750
0.115 0.885 0.250
0.885 0.115 0.750
0.272 0.728 0.750
0.728 0.272 0.250
```